Record 1
Calculated powder XRD pattern of Fe3O4F2 for copper Kα, from the PBE+U geometry in the Materials Project.
Intensities are scaled so that the largest is 100.

Largest 10 diffraction maxima, sorted by position, 5 to 70 degrees two-theta:
Position (°2θ), intensity
26.3, 100
27.5, 98
35.0, 52
35.2, 53
38.4, 18
52.1, 28
52.6, 32
53.6, 28
54.1, 18
67.1, 23

Structural model:
```
18
Lattice="5.6121 0.0000 0.0000 1.8589 5.3034 0.0000 2.4559 1.7272 6.7694" Properties=species:S:1:pos:R:3 pbc="T T T"
Fe 0.0000 0.0000 0.0000
Fe 1.3402 0.9797 3.3699
Fe 2.9752 2.1009 1.1669
Fe 4.2513 2.7633 4.4990
Fe 6.8999 4.9022 5.5817
Fe 6.0278 4.2809 2.3835
O 2.5699 1.7466 4.8338
O 2.9912 3.6730 0.0404
O 4.7928 5.8287 2.2689
O 5.7887 4.0107 4.2674
O 5.3601 1.2008 4.5012
O 4.4533 1.6032 0.0162
O 7.5614 5.3681 1.9476
O 7.0997 2.6075 2.2476
F 3.0660 4.4615 4.5184
F 4.1412 2.9101 6.5415
F 4.2786 3.0127 2.4880
F 5.8291 4.1141 0.2644
```

Record 2
Calculated powder XRD pattern of LaMgFeMoO6 for copper Kα, from the PBE+U geometry in the Materials Project.
Intensities are scaled so that the largest is 100.

Largest 10 diffraction maxima, sorted by position, 5 to 70 degrees two-theta:
Position (°2θ), intensity
19.4, 50
19.7, 23
20.0, 28
31.8, 43
32.1, 100
32.5, 95
32.9, 41
46.4, 74
57.9, 23
58.7, 23

Structural model:
```
20
Lattice="5.4520 0.0000 0.0000 0.0000 5.6245 0.0000 -5.3130 0.0000 7.8355" Properties=species:S:1:pos:R:3 pbc="T T T"
La 0.0000 1.1505 0.0000
La -2.6565 4.4740 3.9178
Mg 0.2897 1.7096 3.9369
Mg 2.9462 3.9149 0.0191
Fe 2.8232 1.4030 1.9775
Fe 0.1667 4.2215 5.8952
Mo -2.5451 1.4377 5.8783
Mo 0.1114 4.1868 1.9605
O -1.8128 1.2394 3.9592
O 0.8437 4.3852 0.0415
O 2.2942 1.7300 0.0304
O -0.3623 3.8945 3.9482
O 1.1178 0.2985 2.4790
O -1.5387 5.3261 6.3968
O -0.9730 2.7160 6.4361
O 1.6835 2.9085 2.5183
O 1.1399 0.3153 5.3774
O 3.7964 5.3092 1.4597
O 4.3677 2.6211 1.5356
O 1.7112 3.0034 5.4534
```